This entry pairs a crystal structure of Pr4RuI5 with its calculated PXRD pattern. Radiation: Cu Kα (weighted mean of Kα1 and Kα2). Structure: DFT lattice parameters and positions (GGA-PBE).

Peak list (6 most intense, 15 to 90 degrees two-theta, low angle first)
d (Å)	I (rel.)
3.203	52
3.182	100
2.349	18
2.258	61
2.163	18
1.793	16

Cell lengths 10.1360, 10.1360, 9.3959 Å; angles 103.50, 103.50, 24.64 degrees
Atoms (fractional coordinates):
Pr: 0.0010 0.0010 0.2112
Pr: 0.3599 0.3599 0.9272
Pr: 0.6401 0.6401 0.0728
Pr: 0.9990 0.9990 0.7888
Ru: 0.5000 0.5000 0.0000
I: 0.1696 0.1696 0.3395
I: 0.1723 0.1723 0.8321
I: 0.5000 0.5000 0.5000
I: 0.8277 0.8277 0.1679
I: 0.8304 0.8304 0.6605